Starting from a structure optimized by DFT (GGA-PBE), the XRD peak list of TbNbO4 was calculated for a wavelength of 1.5418 Å.

```
data_TbNbO4
_chemical_formula_sum 'Tb4 Nb4 O16'
_cell_length_a 7.6119
_cell_length_b 5.3865
_cell_length_c 7.6732
_cell_angle_alpha 90.00
_cell_angle_beta 98.43
_cell_angle_gamma 90.00
_space_group_name_H-M_alt 'P 1 21/c 1'
_space_group_IT_number 14
_space_group_name_Hall '-P 2ybc'
loop_
_atom_site_label
_atom_site_fract_x
_atom_site_fract_y
_atom_site_fract_z
Tb1 0.1454 0.2201 0.3912
Nb1 0.3351 0.7322 0.1887
O1 0.1097 0.5091 0.1718
O2 0.1720 0.0003 0.1200
O3 0.3278 0.6277 0.9379
O4 0.4339 0.1025 0.8107
```

Largest 8 diffraction maxima, sorted by position, 5° ≤ 2θ ≤ 70°:
h k l, 2theta, I_rel
0 1 2, 28.78, 86
2 1 0, 28.93, 100
1 1 -2, 29.80, 28
2 0 -2, 30.91, 18
0 2 0, 33.27, 26
2 2 -2, 46.04, 19
2 2 2, 49.81, 25
2 3 0, 56.77, 22

***

Starting from a structure optimized by DFT (GGA-PBE), the XRD peak list of NbTlTeO6 was calculated for a wavelength of 1.5418 Å.

```
data_NbTlTeO6
_chemical_formula_sum 'Nb4 Tl4 Te4 O24'
_cell_length_a 7.3275
_cell_length_b 10.3769
_cell_length_c 7.5404
_cell_angle_alpha 90.00
_cell_angle_beta 90.00
_cell_angle_gamma 90.00
_space_group_name_H-M_alt 'I m a 2'
_space_group_IT_number 46
_space_group_name_Hall 'I 2 -2a'
loop_
_atom_site_label
_atom_site_fract_x
_atom_site_fract_y
_atom_site_fract_z
Nb1 0.2500 0.2398 0.0000
Tl1 0.2500 0.6442 0.2031
Te1 0.0000 0.0000 0.2730
O1 0.0538 0.1227 0.0890
O2 0.0545 0.1228 0.4580
O3 0.2500 0.1830 0.7682
O4 0.2500 0.5728 0.7756
```

Largest 8 diffraction maxima, sorted by position, 5° ≤ 2θ ≤ 70°:
h k l, 2theta, I_rel
1 2 1, 24.10, 46
1 1 2, 27.97, 59
0 3 1, 28.41, 100
1 3 0, 28.54, 15
2 2 0, 29.85, 30
0 3 3, 44.57, 20
2 4 2, 49.37, 32
4 3 1, 58.31, 18

***

Starting from a structure optimized by DFT (GGA-PBE), the XRD peak list of Ti3NbO8 was calculated for a wavelength of 1.5418 Å.

```
data_Ti3NbO8
_chemical_formula_sum 'Ti3 Nb1 O8'
_cell_length_a 4.7281
_cell_length_b 2.9861
_cell_length_c 9.4589
_cell_angle_alpha 90.00
_cell_angle_beta 90.60
_cell_angle_gamma 90.00
_space_group_name_H-M_alt 'P 1 2/m 1'
_space_group_IT_number 10
_space_group_name_Hall '-P 2y'
loop_
_atom_site_label
_atom_site_fract_x
_atom_site_fract_y
_atom_site_fract_z
Ti1 0.0000 0.0000 0.0000
Ti2 0.4969 0.5000 0.7594
Nb1 0.0000 0.0000 0.5000
O1 0.1925 0.5000 0.9041
O2 0.2117 0.5000 0.3941
O3 0.3012 0.0000 0.6556
O4 0.3089 0.0000 0.1495
```

Largest 8 diffraction maxima, sorted by position, 5° ≤ 2θ ≤ 70°:
h k l, 2theta, I_rel
0 0 1, 9.35, 21
1 0 -2, 26.52, 92
1 0 2, 26.80, 92
1 1 0, 35.56, 100
1 1 -2, 40.40, 25
2 1 -2, 52.91, 53
2 1 2, 53.23, 56
3 1 0, 67.16, 37

***

Starting from a structure optimized by DFT (GGA-PBE), the XRD peak list of Ti5NbO12 was calculated for a wavelength of 1.5418 Å.

```
data_Ti5NbO12
_chemical_formula_sum 'Ti10 Nb2 O24'
_cell_length_a 8.9305
_cell_length_b 6.6685
_cell_length_c 7.2770
_cell_angle_alpha 90.00
_cell_angle_beta 113.69
_cell_angle_gamma 90.00
_space_group_name_H-M_alt 'C 1 2/m 1'
_space_group_IT_number 12
_space_group_name_Hall '-C 2y'
loop_
_atom_site_label
_atom_site_fract_x
_atom_site_fract_y
_atom_site_fract_z
Ti1 0.0000 0.0000 0.0000
Ti2 0.1622 0.5000 0.1604
Ti3 0.1622 0.5000 0.6708
Nb1 0.0000 0.0000 0.5000
O1 0.0000 0.3043 0.0000
O2 0.0653 0.5000 0.3708
O3 0.1020 0.0000 0.2950
O4 0.1697 0.1980 0.6693
O5 0.2311 0.0000 0.0352
```

Largest 8 diffraction maxima, sorted by position, 5° ≤ 2θ ≤ 70°:
h k l, 2theta, I_rel
0 2 0, 26.74, 100
2 0 -2, 26.88, 98
3 1 0, 35.58, 100
2 2 1, 40.53, 27
3 3 0, 53.17, 58
5 1 -2, 53.33, 59
5 3 -2, 67.46, 41
2 0 4, 68.85, 21

***

Starting from a structure optimized by DFT (GGA-PBE), the XRD peak list of TiNbO4 was calculated for a wavelength of 1.5418 Å.

```
data_TiNbO4
_chemical_formula_sum 'Ti6 Nb6 O24'
_cell_length_a 9.0622
_cell_length_b 6.7964
_cell_length_c 7.4035
_cell_angle_alpha 90.00
_cell_angle_beta 114.14
_cell_angle_gamma 90.00
_space_group_name_H-M_alt 'C 1 m 1'
_space_group_IT_number 8
_space_group_name_Hall 'C -2y'
loop_
_atom_site_label
_atom_site_fract_x
_atom_site_fract_y
_atom_site_fract_z
Ti1 0.0000 0.0000 0.0000
Ti2 0.0094 0.0000 0.5125
Ti3 0.3289 0.0000 0.8435
Nb1 0.1731 0.5000 0.6763
Nb2 0.1755 0.5000 0.1694
Nb3 0.3394 0.0000 0.3468
O1 0.0024 0.2928 0.5061
O2 0.0649 0.5000 0.8709
O3 0.1050 0.0000 0.8058
O4 0.1673 0.1974 0.1715
O5 0.2365 0.0000 0.5483
O6 0.2711 0.5000 0.4720
O7 0.3421 0.2992 0.8466
O8 0.4070 0.5000 0.2108
O9 0.4373 0.0000 0.1396
```

Largest 8 diffraction maxima, sorted by position, 5° ≤ 2θ ≤ 70°:
h k l, 2theta, I_rel
0 2 0, 26.22, 82
2 0 -2, 26.37, 84
3 1 0, 35.13, 100
2 2 -2, 37.54, 24
3 3 0, 52.26, 50
1 1 -4, 52.43, 52
0 4 0, 53.97, 15
1 3 -4, 66.18, 34

***

Starting from a structure optimized by DFT (GGA-PBE), the XRD peak list of TiNbO4 was calculated for a wavelength of 1.5418 Å.

```
data_TiNbO4
_chemical_formula_sum 'Ti2 Nb2 O8'
_cell_length_a 6.7166
_cell_length_b 6.8676
_cell_length_c 2.9894
_cell_angle_alpha 90.00
_cell_angle_beta 90.00
_cell_angle_gamma 90.00
_space_group_name_H-M_alt 'C m m m'
_space_group_IT_number 65
_space_group_name_Hall '-C 2 2'
loop_
_atom_site_label
_atom_site_fract_x
_atom_site_fract_y
_atom_site_fract_z
Ti1 0.0000 0.0000 0.0000
Nb1 0.0000 0.5000 0.5000
O1 0.0000 0.2912 0.0000
O2 0.1957 0.0000 0.5000
```

Largest 8 diffraction maxima, sorted by position, 5° ≤ 2θ ≤ 70°:
h k l, 2theta, I_rel
1 1 0, 18.48, 34
0 2 0, 25.95, 83
2 0 0, 26.54, 82
1 1 1, 35.37, 100
0 2 1, 39.99, 27
1 3 1, 52.13, 49
3 1 1, 52.80, 51
3 3 1, 66.23, 32

***

Starting from a structure optimized by DFT (GGA-PBE), the XRD peak list of Ti3NbO8 was calculated for a wavelength of 1.5418 Å.

```
data_Ti3NbO8
_chemical_formula_sum 'Ti12 Nb4 O32'
_cell_length_a 18.8642
_cell_length_b 5.9975
_cell_length_c 4.7181
_cell_angle_alpha 90.00
_cell_angle_beta 90.45
_cell_angle_gamma 90.00
_space_group_name_H-M_alt 'C 1 2/m 1'
_space_group_IT_number 12
_space_group_name_Hall '-C 2y'
loop_
_atom_site_label
_atom_site_fract_x
_atom_site_fract_y
_atom_site_fract_z
Ti1 0.0000 0.2378 0.0000
Ti2 0.1285 0.0000 0.5047
Ti3 0.2500 0.2500 0.0000
Nb1 0.1220 0.5000 0.4961
O1 0.0505 0.0000 0.1957
O2 0.0499 0.5000 0.1945
O3 0.0734 0.2487 0.6964
O4 0.1768 0.2429 0.3030
O5 0.1993 0.5000 0.8079
O6 0.1997 0.0000 0.8025
```

Largest 8 diffraction maxima, sorted by position, 5° ≤ 2θ ≤ 70°:
h k l, 2theta, I_rel
4 0 -1, 26.62, 90
4 0 1, 26.83, 89
4 2 0, 35.47, 100
0 0 2, 38.16, 18
4 2 -1, 40.38, 25
8 2 -1, 52.96, 53
8 2 1, 53.20, 54
0 2 3, 67.23, 36